Starting from a crystal structure in Alexandria, relaxed with GGA-PBE, the XRD peak list of ZnPd3Au2 was simulated for Cu Kα, 1.54184 Å.

Peak list (10 most intense, 10° ≤ 2θ ≤ 90°, in order of falling intensity)
(1 2 1), 39.46°, rel. 100
(1 2 -2), 39.66°, rel. 99
(2 0 -1), 41.52°, rel. 88
(2 4 -1), 70.42°, rel. 33
(3 2 0), 74.24°, rel. 30
(3 2 -3), 74.63°, rel. 30
(0 4 0), 54.09°, rel. 19
(2 0 2), 59.88°, rel. 15
(2 0 -4), 60.46°, rel. 14
(2 4 2), 84.94°, rel. 10

Structure:
abc: 4.3474 6.7817 6.8627
angles: 90.00 107.97 90.00
Fractional positions:
Zn: 0.1618 0.0000 0.3214
Zn: 0.8382 0.0000 0.6786
Pd: 0.0000 0.2423 0.0000
Pd: 0.0000 0.7577 0.0000
Pd: 0.3257 0.2266 0.6539
Pd: 0.3257 0.7734 0.6539
Pd: 0.6743 0.2266 0.3461
Pd: 0.6743 0.7734 0.3461
Au: 0.1683 0.5000 0.3342
Au: 0.5000 0.0000 0.0000
Au: 0.5000 0.5000 0.0000
Au: 0.8317 0.5000 0.6658